1.
Starting from a crystal structure in the Materials Project, relaxed with GGA+U, the powder diffraction line list of Li7Mn5O12 was simulated for CuKα.

Most intense lines, 2θ from 5° to 70°, low angle first:
2θ/deg, I (rel.)
18.28, 100
34.09, 16
36.22, 12
36.39, 12
40.87, 34
44.23, 28
44.37, 28
61.60, 8
61.95, 16
63.99, 10

Cell and atoms:
```
48
Lattice="6.0394 0.0000 0.0000 -1.4466 6.3196 0.0000 -0.9007 -2.9514 11.6096" Properties=species:S:1:pos:R:3 pbc="T T T"
Li 0.0000 0.0000 0.0000
Li -2.0416 4.0997 8.6030
Li -0.0719 4.0256 0.9780
Li -0.4075 2.5534 6.7320
Li 0.6922 -0.6401 10.5672
Li 1.1605 0.8145 4.9590
Li 2.2525 -2.2271 8.7704
Li 2.5693 -1.4757 5.8048
Li 1.4395 5.5953 2.8391
Li 2.5315 2.5537 6.6506
Li 2.9998 4.0083 1.0424
Li 4.0995 0.8148 4.8776
Li 3.7639 -0.6574 10.6316
Li 5.7336 -0.7316 3.0066
Mn -0.4504 -1.4757 5.8048
Mn -0.7768 1.7404 9.7235
Mn -0.2622 3.2321 3.9143
Mn 1.4032 1.6187 1.8966
Mn 0.9756 0.1216 7.6894
Mn 3.0197 0.0000 0.0000
Mn 2.7165 3.2466 3.9202
Mn 2.2888 1.7495 9.7130
Mn 3.9542 0.1361 7.6953
Mn 4.4689 1.6278 1.8861
O -0.3306 1.3188 3.3054
O -0.7892 -0.1265 9.2074
O -0.0929 1.9352 0.6877
O -0.3556 0.3948 6.2835
O -0.4617 5.0952 4.4741
O 0.8737 -1.7636 7.2078
O -0.6634 3.6221 10.2135
O 1.5928 -0.2145 1.3278
O 0.7734 1.9911 8.4253
O 1.0501 2.8265 5.2294
O 0.5539 1.4797 11.1532
O 1.4726 3.5225 2.4477
O 2.2194 -0.1543 9.1619
O 3.1381 1.8885 0.4564
O 2.6419 0.5417 6.3802
O 2.9187 1.3771 3.1843
O 2.0993 3.5827 10.2818
O 4.3554 -0.2539 1.3961
O 2.8184 5.1317 4.4018
O 4.1538 -1.7270 7.1355
O 4.0476 2.9734 5.3261
O 3.7849 1.4329 10.9219
O 4.4813 3.4946 2.4022
O 4.0227 2.0494 8.3042
```

2.
Starting from a crystal structure in the Materials Project, relaxed with GGA+U, the powder diffraction line list of Sr3Nb2CoO9 was simulated for CuKα.

Most intense lines, 2θ from 5° to 70°, low angle first:
2θ/deg, I (rel.)
8.61, 100
23.99, 42
26.23, 51
28.20, 44
28.92, 43
32.00, 71
32.28, 85
34.26, 53
35.16, 89
46.10, 100

Cell and atoms:
```
60
Lattice="11.5275 0.0000 0.0000 0.0000 5.5459 0.0000 -7.6114 0.0000 14.9655" Properties=species:S:1:pos:R:3 pbc="T T T"
Sr 0.3120 0.0241 3.1409
Sr -3.4937 2.7489 10.6237
Sr -2.2533 0.0465 8.4445
Sr 1.5524 2.7265 0.9617
Sr -0.5289 2.8244 6.5655
Sr -4.3346 5.4945 14.0483
Sr 8.2506 0.0515 0.9172
Sr 4.4449 2.7215 8.4000
Sr 2.3637 2.8194 14.0038
Sr 6.1693 5.4995 6.5210
Sr 7.4098 2.7970 4.3418
Sr 3.6041 5.5219 11.8246
Nb -6.2053 2.7901 12.5403
Nb -2.3996 5.5288 5.0575
Nb -0.5722 2.8144 12.3658
Nb 3.2335 5.5045 4.8831
Nb 0.6826 0.0414 10.0824
Nb 4.4883 2.7316 2.5997
Nb 6.3157 0.0172 9.9080
Nb 10.1214 2.7558 2.4252
Co 0.0000 0.0000 0.0000
Co -3.8057 2.7730 7.4828
Co 1.9580 0.0000 7.4828
Co 5.7637 2.7730 0.0000
O -6.9138 1.3624 13.7052
O -3.1081 1.4106 6.2224
O -1.7004 3.9245 4.0258
O -5.5061 4.3944 11.5085
O -6.6520 4.1297 13.9413
O -2.8463 4.1892 6.4586
O -3.3543 0.2804 10.6245
O 0.4514 2.4926 3.1417
O 1.6863 0.2170 1.0366
O -2.1194 2.5560 8.5194
O -0.5462 0.3084 5.8546
O -4.3519 2.4646 13.3373
O 3.3243 4.0847 3.4934
O -0.4814 4.2342 10.9762
O 4.6531 3.9120 1.0337
O 0.8474 4.4069 8.5164
O -1.2803 4.0399 13.6991
O 2.5254 4.2790 6.2164
O 1.3907 1.2669 8.7491
O 5.1964 1.5060 1.2664
O 3.0687 1.1391 6.4491
O -0.7370 1.6339 13.9318
O 4.3975 1.3118 3.9893
O 0.5918 1.4612 11.4721
O 8.2680 3.0813 1.6282
O 4.4623 5.2376 9.1109
O 6.0355 2.9899 6.4461
O 2.2298 5.3290 13.9289
O 3.4647 3.0534 11.8238
O 7.2704 5.2655 4.3410
O 6.7624 1.3568 8.5069
O 10.5681 1.4162 1.0242
O 9.4222 1.1515 3.4570
O 5.6165 1.6215 10.9397
O 7.0242 4.1354 8.7431
O 10.8299 4.1835 1.2603
```

3.
Starting from a crystal structure in the Materials Project, relaxed with GGA+U, the powder diffraction line list of Ca7MgMn8O24 was simulated for CuKα.

Most intense lines, 2θ from 5° to 70°, low angle first:
2θ/deg, I (rel.)
23.47, 23
33.44, 100
41.26, 6
48.01, 53
54.11, 7
59.77, 35

Cell and atoms:
```
40
Lattice="7.5803 0.0000 0.0000 0.0000 7.5803 0.0000 0.0000 0.0000 7.5803" Properties=species:S:1:pos:R:3 pbc="T T T"
Ca 0.0000 0.0000 0.0000
Ca 0.0000 0.0000 3.7901
Ca 0.0000 3.7901 0.0000
Ca 0.0000 3.7901 3.7901
Ca 3.7901 0.0000 0.0000
Ca 3.7901 0.0000 3.7901
Ca 3.7901 3.7901 0.0000
Mg 3.7901 3.7901 3.7901
Mn 1.8989 1.8989 1.8989
Mn 1.8989 1.8989 5.6814
Mn 1.8989 5.6814 1.8989
Mn 1.8989 5.6814 5.6814
Mn 5.6814 1.8989 1.8989
Mn 5.6814 1.8989 5.6814
Mn 5.6814 5.6814 1.8989
Mn 5.6814 5.6814 5.6814
O 0.0000 1.8975 1.8975
O 0.0000 1.8975 5.6828
O 0.0000 5.6828 1.8975
O 0.0000 5.6828 5.6828
O 1.8975 0.0000 1.8975
O 1.8975 0.0000 5.6828
O 1.8975 1.8975 0.0000
O 1.8975 5.6828 0.0000
O 1.9137 1.9137 3.7901
O 1.9137 3.7901 1.9137
O 1.9137 3.7901 5.6666
O 1.9137 5.6666 3.7901
O 3.7901 1.9137 1.9137
O 3.7901 1.9137 5.6666
O 3.7901 5.6666 1.9137
O 3.7901 5.6666 5.6666
O 5.6666 1.9137 3.7901
O 5.6666 3.7901 1.9137
O 5.6666 3.7901 5.6666
O 5.6666 5.6666 3.7901
O 5.6828 0.0000 1.8975
O 5.6828 0.0000 5.6828
O 5.6828 1.8975 0.0000
O 5.6828 5.6828 0.0000
```

4.
Starting from a crystal structure in the Materials Project, relaxed with GGA+U, the powder diffraction line list of CsV2I3O13 was simulated for CuKα.

Most intense lines, 2θ from 5° to 70°, low angle first:
2θ/deg, I (rel.)
16.57, 41
24.06, 45
25.13, 37
25.42, 33
27.37, 100
28.93, 37
30.15, 36
30.50, 55
37.70, 31
48.20, 57

Cell and atoms:
```
38
Lattice="-7.0072 5.3494 4.1082 7.0072 -5.3494 4.1082 7.0072 5.3494 -4.1082" Properties=species:S:1:pos:R:3 pbc="T T T"
Cs 3.5036 1.1671 0.0000
Cs 3.5036 4.1824 4.1082
V 1.8016 5.1513 -0.0657
V 5.2056 5.1513 -0.0657
V 1.8016 0.1982 4.0425
V 5.2056 0.1982 4.0425
I 6.9121 2.7496 -1.9389
I 7.1023 -2.5998 2.1693
I 3.5036 -2.4195 5.9466
I 0.0951 2.5998 2.1693
I 6.9121 2.5998 2.1693
I 3.5036 7.7689 1.8384
O 10.5108 1.8007 -0.5683
O 6.7185 1.7871 -0.4157
O 7.2959 -3.5623 3.6925
O 8.4065 3.7772 -1.5783
O 5.6079 -1.5723 2.5299
O 5.5627 4.0597 -1.6530
O 8.4517 -1.2898 2.4553
O 3.5036 -0.1238 3.4041
O 1.4445 1.2898 2.4553
O 5.5627 1.2898 2.4553
O 3.5036 5.4733 -0.7041
O -1.3993 1.5723 2.5299
O 8.4065 1.5723 2.5299
O 2.1026 3.9557 1.0136
O 4.9046 3.9557 1.0136
O -2.0752 4.0084 1.2298
O 2.0752 -1.3411 5.3380
O 0.0000 5.3494 0.2401
O 0.0000 0.0000 4.3483
O 2.1026 1.3937 5.1218
O 4.9046 1.3937 5.1218
O -3.5036 3.5487 3.5399
O 2.0752 6.6905 1.2298
O 4.9320 6.6905 1.2298
O 0.2887 3.5623 3.6925
O 6.7185 3.5623 3.6925
```

5.
Starting from a crystal structure in the Materials Project, relaxed with GGA+U, the powder diffraction line list of Li2VSi4O11 was simulated for CuKα.

Most intense lines, 2θ from 5° to 70°, low angle first:
2θ/deg, I (rel.)
16.76, 45
17.69, 59
18.28, 53
23.83, 79
24.91, 56
25.83, 45
26.90, 51
27.06, 80
28.83, 100
31.56, 62

Cell and atoms:
```
36
Lattice="5.4024 -4.8532 0.0000 5.4024 4.8532 0.0000 -1.6806 0.0000 8.0479" Properties=species:S:1:pos:R:3 pbc="T T T"
Li 4.1420 4.0688 6.0359
Li 4.1420 1.4242 6.0359
Li 4.9823 -1.4242 2.0120
Li 4.9823 -4.0688 2.0120
V 1.8609 2.4266 4.0240
V 2.7012 -2.4266 0.0000
Si 4.7919 2.8751 0.5076
Si 2.7914 0.5979 1.2695
Si 5.1727 2.8751 3.5164
Si 1.9511 -0.5979 5.2935
Si 7.1732 0.5979 2.7545
Si 3.9516 -2.8751 4.5315
Si 6.3330 -0.5979 6.7784
Si 4.3325 -2.8751 7.5404
O 1.5498 0.8797 0.2408
O 4.9823 3.5633 2.0120
O 2.3484 1.2536 2.6998
O 3.8480 2.8036 4.4434
O 2.2331 0.9805 5.4211
O 0.7095 -0.8797 4.2647
O 4.1221 1.3980 0.7049
O 4.4361 2.8036 7.6285
O 1.5082 -1.2536 6.7238
O 3.0734 -0.9805 1.3972
O 5.8425 1.3980 3.3190
O 3.2818 -1.3980 4.7289
O 6.0510 0.9805 6.6508
O 7.6162 1.2536 1.3242
O 4.6883 -2.8036 0.4194
O 5.0023 -1.3980 7.3430
O 8.4149 0.8797 3.7832
O 6.8913 -0.9805 2.6268
O 5.2763 -2.8036 3.6046
O 6.7759 -1.2536 5.3481
O 4.1420 -3.5633 6.0359
O 7.5746 -0.8797 7.8072
```

6.
Starting from a crystal structure in the Materials Project, relaxed with GGA+U, the powder diffraction line list of Li3Mn4B4O12 was simulated for CuKα.

Most intense lines, 2θ from 5° to 70°, low angle first:
2θ/deg, I (rel.)
20.21, 79
20.66, 22
21.91, 43
22.79, 64
33.95, 56
34.21, 100
37.59, 22
39.65, 23
40.31, 19
40.54, 32

Cell and atoms:
```
46
Lattice="5.2389 0.0000 0.0000 0.2520 7.9163 0.0000 0.6001 2.0737 12.1730" Properties=species:S:1:pos:R:3 pbc="T T T"
Li 0.6217 3.3986 2.9087
Li 2.2004 1.2568 0.2183
Li 2.5074 2.2764 6.2805
Li 3.5836 7.7135 5.8925
Li 3.8905 8.7332 11.9547
Li 5.4693 6.5914 9.2643
Mn 1.0269 1.8612 10.5941
Mn 0.7533 0.8116 4.5085
Mn 2.7274 5.7338 10.6721
Mn 2.4624 4.8175 4.5728
Mn 3.6286 5.1724 7.6002
Mn 3.3636 4.2562 1.5009
Mn 5.3377 9.1784 7.6646
Mn 5.0641 8.1288 1.5789
B 1.0056 6.4546 6.6224
B 0.7116 5.3339 0.4982
B 2.4255 7.0151 2.4135
B 2.7441 8.0119 8.5790
B 3.3468 1.9781 3.5940
B 3.6655 2.9749 9.7596
B 5.3793 4.6561 11.6748
B 5.0854 3.5354 5.5507
O 0.6937 5.5367 10.7939
O 0.4404 4.3286 4.6366
O 0.8075 3.5060 12.1088
O 0.5094 2.3734 6.0321
O 1.4322 8.2326 9.0183
O 1.2070 7.4050 2.9660
O 2.3314 6.2373 6.1899
O 2.0450 5.1207 0.0451
O 2.6262 3.0440 3.0642
O 3.0779 2.1961 10.7323
O 3.1028 4.1824 9.3604
O 2.8100 1.1715 4.5836
O 3.2810 8.8185 7.5895
O 2.9882 5.8076 2.8126
O 3.0131 7.7939 1.4408
O 3.4648 6.9460 9.1088
O 4.0460 4.8693 12.1279
O 3.7596 3.7527 5.9831
O 4.8839 2.5849 9.2070
O 4.6588 1.7574 3.1547
O 5.5815 7.6166 6.1410
O 5.2835 6.4840 0.0642
O 5.6506 5.6614 7.5364
O 5.3973 4.4533 1.3791
```

7.
Starting from a crystal structure in the Materials Project, relaxed with GGA+U, the powder diffraction line list of Li4TiCr3O8 was simulated for CuKα.

Most intense lines, 2θ from 5° to 70°, low angle first:
2θ/deg, I (rel.)
18.17, 100
35.58, 41
36.82, 4
37.19, 10
43.10, 86
47.13, 13
56.81, 13
62.34, 23
62.84, 23
66.00, 13

Cell and atoms:
```
16
Lattice="2.9578 1.7077 4.8825 -2.9578 1.7077 4.8825 0.0000 -3.4154 4.8825" Properties=species:S:1:pos:R:3 pbc="T T T"
Li 0.0000 0.0000 0.0000
Li -1.4789 -0.8538 4.8825
Li -1.4789 0.8538 9.7651
Li 0.0000 1.7077 4.8825
Ti 0.0000 0.0000 7.3238
Cr -2.9578 0.0000 7.3238
Cr -1.4789 0.8538 2.4413
Cr 1.4789 0.8538 2.4413
O 0.0000 0.0000 3.5361
O -1.4895 -0.8600 8.4532
O 0.0000 -1.7200 6.1944
O -1.4896 0.8600 6.1944
O 1.4895 -0.8600 8.4532
O 0.0000 1.7200 8.4532
O 1.4896 0.8600 6.1944
O 0.0000 0.0000 11.1115
```